[1]
InMo2W: simulated XRD peak list (CuKα), based on a structure optimized by DFT (PBE).

Top 6 peaks for 10° ≤ 2θ ≤ 90°, in order of falling intensity:
- d 2.298, I 100.0, hkl 1 1 2
- d 2.277, I 47.7, hkl 0 2 0
- d 1.319, I 30.6, hkl 1 3 2
- d 1.331, I 16.8, hkl 2 2 0
- d 1.610, I 15.2, hkl 0 2 4
- d 1.149, I 10.3, hkl 2 2 4

Cell and atoms:
```
data_InMo2W
_chemical_formula_sum 'In2 Mo4 W2'
_cell_length_a 3.281
_cell_length_b 4.552
_cell_length_c 9.112
_cell_angle_alpha 90.00
_cell_angle_beta 90.00
_cell_angle_gamma 90.00
_symmetry_space_group_name_H-M 'I m m 2'
_symmetry_Int_Tables_number 44
loop_
_symmetry_equiv_pos_as_xyz
'x,y,z'
'-x,-y,z'
'-x,y,z'
'x,-y,z'
'x+1/2,y+1/2,z+1/2'
'-x+1/2,-y+1/2,z+1/2'
'-x+1/2,y+1/2,z+1/2'
'x+1/2,-y+1/2,z+1/2'
loop_
_atom_site_label
_atom_site_fract_x
_atom_site_fract_y
_atom_site_fract_z
In1 0.000 0.000 0.000
Mo1 0.000 0.000 0.502
Mo2 0.000 0.500 0.765
W1 0.000 0.500 0.234
```

[2]
InMo2W: simulated XRD peak list (CuKα), based on a structure optimized by DFT (PBE).

Top 6 peaks for 10° ≤ 2θ ≤ 90°, in order of falling intensity:
- d 2.343, I 100.0, hkl 0 1 2
- d 2.311, I 92.6, hkl 1 1 0
- d 2.227, I 42.6, hkl 1 0 -2
- d 2.211, I 42.4, hkl 0 2 0
- d 1.295, I 29.0, hkl 1 3 0
- d 1.569, I 27.9, hkl 1 2 -2

Cell and atoms:
```
data_InMo2W
_chemical_formula_sum 'In1 Mo2 W1'
_cell_length_a 2.796
_cell_length_b 4.422
_cell_length_c 5.700
_cell_angle_alpha 90.00
_cell_angle_beta 104.16
_cell_angle_gamma 90.00
_symmetry_space_group_name_H-M 'P 1 2/m 1'
_symmetry_Int_Tables_number 10
loop_
_symmetry_equiv_pos_as_xyz
'x,y,z'
'-x,-y,-z'
'-x,y,-z'
'x,-y,z'
loop_
_atom_site_label
_atom_site_fract_x
_atom_site_fract_y
_atom_site_fract_z
In1 0.000 0.000 0.000
Mo1 0.447 0.500 0.740
W1 0.000 0.000 0.500
```